The following is a theoretical XRD peak list of YHgTe2. It was derived from a PBE-relaxed structure, using Cu Kα, 1.54184 Å.

Principal peaks in the range 2θ = 5–70°, by angle:
(hkl)	Position (°2θ)	I (rel.)
1 -1 0	24.73	36
0 1 2	25.69	53
1 0 -2	26.09	23
1 0 2	26.96	100
-1 1 1	27.33	34
0 2 -2	30.22	42
0 1 3	33.27	21
1 2 -3	39.98	19
-1 2 2	43.35	23
1 -2 4	44.23	34

Crystal structure
a = 4.386 Å, b = 6.170 Å, c = 10.921 Å
α = 106.30°, β = 91.20°, γ = 92.18°
Space group P-1 (No. 2)
Asymmetric unit:
Y1 0.234 0.200 0.391 [2 per cell]
Hg1 0.096 0.647 0.938 [2 per cell]
Te1 0.247 0.700 0.397 [2 per cell]
Te2 0.285 0.955 0.814 [2 per cell]